(1)
Starting from a DFT-relaxed cell (PBE, Alexandria), the powder diffractogram of V6SnRu was calculated for a wavelength of 1.5418 Å.

Main lines, in order of rising 2θ (2θ from 5° to 70°):
2θ (°), I/Imax
25.50, 17
26.83, 15
30.11, 16
39.30, 48
40.41, 57
41.26, 66
41.54, 100
47.41, 42
52.39, 20
67.04, 19

Structure:
```
V6SnRu
1.0
5.253 0.000 0.000
0.000 9.955 0.000
-0.825 0.000 4.464
V Sn Ru
12 2 2
direct
0.000 0.000 0.000
0.000 0.356 0.500
0.231 0.238 0.976
0.233 0.104 0.487
0.267 0.604 0.513
0.269 0.738 0.024
0.500 0.500 0.000
0.500 0.856 0.500
0.731 0.738 0.976
0.733 0.604 0.487
0.767 0.104 0.513
0.769 0.238 0.024
0.000 0.847 0.500
0.500 0.347 0.500
0.000 0.495 0.000
0.500 0.995 0.000
```

---

(2)
Starting from a DFT-relaxed cell (PBE, Alexandria), the powder diffractogram of Sr2Ru was calculated for a wavelength of 1.5418 Å.

Main lines, in order of rising 2θ (2θ from 5° to 70°):
2θ (°), I/Imax
8.84, 80
18.46, 36
32.53, 100
32.67, 48
35.91, 35
37.29, 87
49.33, 28
58.22, 18
61.37, 35
68.42, 22

Structure:
```
Sr2Ru
1.0
3.622 0.000 0.000
0.000 20.008 0.000
0.000 0.000 5.482
Sr Ru
8 4
direct
0.000 0.060 0.250
0.000 0.181 0.750
0.000 0.819 0.250
0.000 0.940 0.750
0.500 0.319 0.250
0.500 0.440 0.750
0.500 0.560 0.250
0.500 0.681 0.750
0.000 0.434 0.250
0.000 0.566 0.750
0.500 0.066 0.750
0.500 0.934 0.250
```

---

(3)
Starting from a DFT-relaxed cell (PBE, Alexandria), the powder diffractogram of Sr3Ru5 was calculated for a wavelength of 1.5418 Å.

Main lines, in order of rising 2θ (2θ from 5° to 70°):
2θ (°), I/Imax
15.46, 6
36.69, 100
37.27, 28
38.12, 28
43.70, 7
51.32, 6
54.37, 19
65.69, 5
66.83, 15
67.96, 16

Structure:
```
Sr3Ru5
1.0
7.121 0.000 0.000
0.000 9.650 0.000
0.000 0.000 4.721
Sr Ru
6 10
direct
0.000 0.000 0.000
0.000 0.231 0.500
0.000 0.769 0.500
0.500 0.269 0.500
0.500 0.500 0.000
0.500 0.731 0.500
0.000 0.500 0.000
0.180 0.500 0.500
0.250 0.250 0.000
0.250 0.750 0.000
0.320 0.000 0.500
0.500 0.000 0.000
0.680 0.000 0.500
0.750 0.250 0.000
0.750 0.750 0.000
0.820 0.500 0.500
```

---

(4)
Starting from a DFT-relaxed cell (PBE, Alexandria), the powder diffractogram of Sr4Ru was calculated for a wavelength of 1.5418 Å.

Main lines, in order of rising 2θ (2θ from 5° to 70°):
2θ (°), I/Imax
14.89, 28
21.12, 25
25.94, 58
30.04, 100
33.69, 15
37.01, 12
43.00, 74
50.91, 27
53.34, 26
62.44, 12

Structure:
```
Sr4Ru
1.0
5.949 0.000 0.000
0.000 5.949 0.000
0.000 0.000 5.949
Sr Ru
4 1
direct
0.000 0.000 0.000
0.000 0.500 0.500
0.500 0.000 0.500
0.500 0.500 0.000
0.500 0.500 0.500
```

---

(5)
Starting from a DFT-relaxed cell (PBE, Alexandria), the powder diffractogram of SrRu was calculated for a wavelength of 1.5418 Å.

Main lines, in order of rising 2θ (2θ from 5° to 70°):
2θ (°), I/Imax
10.42, 100
28.25, 35
30.19, 49
31.63, 13
34.88, 25
42.61, 12
43.06, 37
44.42, 17
54.40, 16
62.18, 23

Structure:
```
SrRu
1.0
4.202 0.000 0.000
-2.101 3.639 0.000
0.000 0.000 25.462
Sr Ru
6 6
direct
0.000 0.000 0.088
0.000 0.000 0.912
0.333 0.667 0.578
0.333 0.667 0.755
0.667 0.333 0.245
0.667 0.333 0.422
0.000 0.000 0.333
0.000 0.000 0.667
0.333 0.667 0.000
0.333 0.667 0.333
0.667 0.333 0.000
0.667 0.333 0.667
```

---

(6)
Starting from a DFT-relaxed cell (PBE, Alexandria), the powder diffractogram of Sr2TlRu was calculated for a wavelength of 1.5418 Å.

Main lines, in order of rising 2θ (2θ from 5° to 70°):
2θ (°), I/Imax
18.03, 23
28.76, 15
31.61, 9
32.81, 100
33.49, 14
43.23, 14
47.58, 10
58.26, 8
58.56, 17
59.32, 9

Structure:
```
Sr2TlRu
1.0
3.794 0.000 0.000
0.000 5.461 0.000
0.000 0.000 11.321
Sr Tl Ru
4 2 2
direct
0.000 0.000 0.000
0.000 0.500 0.197
0.500 0.000 0.697
0.500 0.500 0.500
0.000 0.500 0.792
0.500 0.000 0.292
0.000 0.000 0.467
0.500 0.500 0.967
```